# 1
For Tb7Pr2Th2, DFT lattice parameters and positions (PBE) gives the calculated powder diffractogram in this record (a wavelength of 1.5418 Å).
Peak positions follow from Bragg's law for the DFT cell and can differ from measured ones.

Most intense lines, 10 to 90 degrees two-theta, in order of rising 2θ:
(3 1 -1), 25.6°, d = 3.475 Å, intensity 25; (1 1 -2), 30.3°, d = 2.953 Å, intensity 33; (0 4 0), 30.9°, d = 2.898 Å, intensity 50; (2 2 1), 31.8°, d = 2.814 Å, intensity 100; (4 0 -1), 32.0°, d = 2.796 Å, intensity 32; (2 2 -2), 33.3°, d = 2.692 Å, intensity 48; (3 3 -1), 33.8°, d = 2.650 Å, intensity 28; (4 4 -1), 45.1°, d = 2.012 Å, intensity 21; (1 5 -2), 49.4°, d = 1.846 Å, intensity 14; (2 6 1), 55.5°, d = 1.656 Å, intensity 16

Cell and atoms:
```
data_Tb7Pr2Th2
_cell_length_a 11.207
_cell_length_b 11.591
_cell_length_c 6.162
_cell_angle_alpha 90.00
_cell_angle_beta 113.43
_cell_angle_gamma 90.00
_symmetry_space_group_name_H-M 'C 1 2/m 1'
_symmetry_Int_Tables_number 12
_symmetry_space_group_name_Hall '-C 2y'
loop_
_atom_site_label
_atom_site_type_symbol
_atom_site_fract_x
_atom_site_fract_y
_atom_site_fract_z
_atom_site_occupancy
Tb1 Tb 0.000 0.000 0.000 1
Tb2 Tb 0.171 0.239 0.166 1
Tb3 Tb 0.246 0.000 0.579 1
Pr1 Pr 0.000 0.215 0.500 1
Th1 Th 0.091 0.500 0.813 1
```

***

# 2
For TbPrTh14, DFT lattice parameters and positions (PBE) gives the calculated powder diffractogram in this record (a wavelength of 1.5418 Å).
Peak positions follow from Bragg's law for the DFT cell and can differ from measured ones.

Most intense lines, 10 to 90 degrees two-theta, in order of rising 2θ:
(1 0 4), 29.7°, d = 3.007 Å, intensity 38; (4 0 0), 30.8°, d = 2.906 Å, intensity 33; (2 2 2), 32.6°, d = 2.744 Å, intensity 100; (3 0 4), 37.0°, d = 2.426 Å, intensity 21; (5 0 4), 48.9°, d = 1.862 Å, intensity 10; (0 4 0), 50.8°, d = 1.797 Å, intensity 26; (6 2 2), 55.9°, d = 1.645 Å, intensity 22; (4 4 0), 60.6°, d = 1.528 Å, intensity 30; (2 0 8), 61.7°, d = 1.503 Å, intensity 17; (8 4 0), 86.1°, d = 1.130 Å, intensity 12

Cell and atoms:
```
data_TbPrTh14
_cell_length_a 11.623
_cell_length_b 7.182
_cell_length_c 12.461
_cell_angle_alpha 90.00
_cell_angle_beta 90.00
_cell_angle_gamma 90.00
_symmetry_space_group_name_H-M 'A m m 2'
_symmetry_Int_Tables_number 38
_symmetry_space_group_name_Hall 'A 2 -2'
loop_
_atom_site_label
_atom_site_type_symbol
_atom_site_fract_x
_atom_site_fract_y
_atom_site_fract_z
_atom_site_occupancy
Tb1 Tb 0.000 0.000 0.000 1
Pr1 Pr 0.000 0.000 0.501 1
Th1 Th 0.000 0.249 0.747 1
Th2 Th 0.251 0.000 0.166 1
Th3 Th 0.252 0.000 0.666 1
Th4 Th 0.252 0.249 0.915 1
Th5 Th 0.500 0.000 0.332 1
Th6 Th 0.500 0.000 0.832 1
Th7 Th 0.500 0.250 0.082 1
```